Record 1
Calculated powder diffraction line list
Compound: LiCaP3H8O13
Radiation: a wavelength of 1.5418 Å
Structure: a cell relaxed with PBE

Crystal structure
a = 7.3133 Å, b = 7.8594 Å, c = 10.2373 Å
α = 84.97°, β = 74.68°, γ = 77.11°
Fractional positions:
1 Li 0.0000 0.0000 0.0000
2 Li 0.0000 0.5000 0.5000
3 Ca 0.1758 0.1924 0.2424
4 Ca 0.8242 0.8076 0.7577
5 P 0.2438 0.7973 0.4798
6 P 0.3287 0.8037 0.7415
7 P 0.4065 0.5402 0.2710
8 P 0.5935 0.4598 0.7290
9 P 0.6713 0.1963 0.2585
10 P 0.7562 0.2027 0.5202
11 H 0.0774 0.2580 0.7978
12 H 0.0979 0.6654 0.0833
13 H 0.1469 0.3465 0.9865
14 H 0.1831 0.1807 0.5709
15 H 0.3064 0.8674 0.0995
16 H 0.3077 0.3040 0.5995
17 H 0.3504 0.3786 0.9899
18 H 0.3592 0.9733 0.9634
19 H 0.6408 0.0267 0.0366
20 H 0.6496 0.6214 0.0101
21 H 0.6923 0.6960 0.4005
22 H 0.6936 0.1326 0.9005
23 H 0.8169 0.8193 0.4291
24 H 0.8531 0.6535 0.0135
25 H 0.9021 0.3346 0.9167
26 H 0.9226 0.7420 0.2022
27 O 0.0244 0.2480 0.8975
28 O 0.0891 0.7044 0.5606
29 O 0.1181 0.8543 0.8120
30 O 0.1743 0.2864 0.6177
31 O 0.1929 0.9511 0.3905
32 O 0.2158 0.3866 0.0461
33 O 0.2438 0.4453 0.3266
34 O 0.2721 0.9838 0.0557
35 O 0.3594 0.8527 0.5796
36 O 0.3847 0.5918 0.7447
37 O 0.4143 0.6496 0.1427
38 O 0.4221 0.6550 0.3922
39 O 0.4730 0.8770 0.7880
40 O 0.5270 0.1230 0.2120
41 O 0.5779 0.3450 0.6078
42 O 0.5857 0.3504 0.8573
43 O 0.6153 0.4082 0.2553
44 O 0.6406 0.1473 0.4204
45 O 0.7279 0.0162 0.9443
46 O 0.7562 0.5547 0.6734
47 O 0.7842 0.6134 0.9539
48 O 0.8071 0.0489 0.6095
49 O 0.8257 0.7136 0.3823
50 O 0.8819 0.1457 0.1880
51 O 0.9109 0.2956 0.4394
52 O 0.9756 0.7520 0.1025

The 8 most intense peaks (5 to 70 degrees two-theta), low angle first:
9.0 deg, intensity 80
14.4 deg, intensity 53
14.9 deg, intensity 71
15.4 deg, intensity 100
25.2 deg, intensity 71
26.0 deg, intensity 81
27.5 deg, intensity 59
29.9 deg, intensity 68

***

Record 2
Calculated powder diffraction line list
Compound: Ca4Mg3H14
Radiation: a wavelength of 1.5418 Å
Structure: a cell relaxed with PBE

Crystal structure
a = 6.2395 Å, b = 6.2395 Å, c = 6.8603 Å
α = 90.00°, β = 90.00°, γ = 120.00°
Fractional positions:
1 Ca 0.0000 0.0000 0.2351
2 Ca 0.0000 0.0000 0.7649
3 Ca 0.3333 0.6667 0.0000
4 Ca 0.6667 0.3333 0.0000
5 Mg 0.0000 0.5537 0.5000
6 Mg 0.4463 0.4463 0.5000
7 Mg 0.5537 0.0000 0.5000
8 H 0.0000 0.2293 0.5000
9 H 0.0000 0.2628 0.0000
10 H 0.0000 0.6113 0.2237
11 H 0.0000 0.6113 0.7763
12 H 0.2293 0.0000 0.5000
13 H 0.2628 0.0000 0.0000
14 H 0.3333 0.6667 0.5000
15 H 0.3887 0.3887 0.2237
16 H 0.3887 0.3887 0.7763
17 H 0.6113 0.0000 0.2237
18 H 0.6113 0.0000 0.7763
19 H 0.6667 0.3333 0.5000
20 H 0.7372 0.7372 0.0000
21 H 0.7707 0.7707 0.5000

The 8 most intense peaks (5 to 70 degrees two-theta), low angle first:
28.6 deg, intensity 58
30.9 deg, intensity 100
31.5 deg, intensity 66
33.2 deg, intensity 23
35.7 deg, intensity 30
52.1 deg, intensity 43
52.4 deg, intensity 17
68.3 deg, intensity 22

***

Record 3
Calculated powder diffraction line list
Compound: Ca2Mg5Si8H2O24
Radiation: a wavelength of 1.5418 Å
Structure: a cell relaxed with PBE

Crystal structure
a = 10.4221 Å, b = 10.4221 Å, c = 5.3504 Å
α = 96.89°, β = 96.89°, γ = 122.47°
Fractional positions:
1 Ca 0.2222 0.7778 0.0000
2 Ca 0.7778 0.2222 0.0000
3 Mg 0.3226 0.6774 0.5000
4 Mg 0.4119 0.5881 0.0000
5 Mg 0.5000 0.5000 0.5000
6 Mg 0.5881 0.4119 0.0000
7 Mg 0.6774 0.3226 0.5000
8 Si 0.0419 0.3836 0.6977
9 Si 0.1387 0.3071 0.2058
10 Si 0.3071 0.1387 0.2058
11 Si 0.3836 0.0419 0.6977
12 Si 0.6164 0.9581 0.3023
13 Si 0.6929 0.8613 0.7942
14 Si 0.8613 0.6929 0.7942
15 Si 0.9581 0.6164 0.3023
16 H 0.2944 0.2944 0.7300
17 H 0.7056 0.7056 0.2700
18 O 0.0240 0.2898 0.4052
19 O 0.0402 0.2778 0.9157
20 O 0.1141 0.6210 0.2942
21 O 0.1675 0.1675 0.2089
22 O 0.2089 0.5532 0.7768
23 O 0.2778 0.0402 0.9157
24 O 0.2898 0.0240 0.4052
25 O 0.3030 0.4767 0.2834
26 O 0.3790 0.8859 0.7058
27 O 0.3943 0.3943 0.7858
28 O 0.4468 0.7911 0.2232
29 O 0.4767 0.3030 0.2834
30 O 0.5233 0.6970 0.7166
31 O 0.5532 0.2089 0.7768
32 O 0.6057 0.6057 0.2142
33 O 0.6210 0.1141 0.2942
34 O 0.6970 0.5233 0.7166
35 O 0.7102 0.9760 0.5948
36 O 0.7222 0.9598 0.0843
37 O 0.7911 0.4468 0.2232
38 O 0.8325 0.8325 0.7911
39 O 0.8859 0.3790 0.7058
40 O 0.9598 0.7222 0.0843
41 O 0.9760 0.7102 0.5948

The 8 most intense peaks (5 to 70 degrees two-theta), low angle first:
9.7 deg, intensity 41
10.3 deg, intensity 72
25.9 deg, intensity 53
26.8 deg, intensity 40
28.0 deg, intensity 61
29.8 deg, intensity 37
32.6 deg, intensity 100
35.0 deg, intensity 55